Starting from the PBE+U geometry in Alexandria, the X-ray powder pattern of HfMnSb2O8 was computed for Cu Kα (λ = 1.5418 Å).
Neutral-atom scattering factors, no anomalous dispersion.

Crystal structure
Lattice parameters (Å, degrees): 6.729 6.975 6.351 90.00 90.00 90.00
Space group Cmmm (No. 65)
Inequivalent atoms, fractional coordinates:
Hf 0.000 0.000 0.000 [2 per cell]
Mn 0.000 0.000 0.500 [2 per cell]
Sb 0.000 0.500 0.253 [4 per cell]
O 0.000 0.310 0.000 [4 per cell]
O 0.000 0.314 0.500 [4 per cell]
O 0.207 0.000 0.238 [8 per cell]

The 10 most intense peaks (10° ≤ 2θ ≤ 80°), most intense first:
- hkl 1 1 2, 33.75°, I = 100
- hkl 0 2 0, 25.54°, I = 68
- hkl 2 0 0, 26.49°, I = 60
- hkl 1 3 2, 50.50°, I = 46
- hkl 3 1 2, 51.58°, I = 39
- hkl 2 2 0, 37.13°, I = 29
- hkl 3 3 2, 64.79°, I = 25
- hkl 1 1 1, 23.10°, I = 22
- hkl 0 0 1, 13.94°, I = 15
- hkl 4 0 0, 54.55°, I = 12